Theoretical X-ray diffraction stick pattern
Compound: Li10Mn2Fe3Co3O16
Radiation: Cu Kα, 1.54184 Å
Structure: a cell relaxed with GGA+U
Lines closer than 0.1° are merged.

Structural model:
Cell: 5.8766 6.0351 9.8604 Å, 89.73 89.78 61.08°
Space group P1 (No. 1)
Symmetry-distinct sites (fractional):
Li 0.0000 0.0000 0.0000 x1
Li 0.0199 0.3870 0.9801 x1
Li 0.1229 0.1726 0.2132 x1
Li 0.1904 0.5998 0.4973 x1
Li 0.4293 0.0061 0.0017 x1
Li 0.4860 0.4455 0.7148 x1
Li 0.6089 0.2088 0.4858 x1
Li 0.6359 0.5905 0.4945 x1
Li 0.7941 0.8246 0.4208 x1
Li 0.8176 0.7758 0.9310 x1
Mn 0.1366 0.1352 0.4671 x1
Mn 0.4652 0.4903 0.9723 x1
Fe 0.4818 0.9480 0.7236 x1
Fe 0.6227 0.1708 0.2237 x1
Fe 0.9873 0.9489 0.7250 x1
Co 0.1285 0.6604 0.2259 x1
Co 0.6208 0.6637 0.2273 x1
Co 0.9856 0.4451 0.7254 x1
O 0.1522 0.6213 0.8527 x1
O 0.1558 0.1087 0.8443 x1
O 0.3106 0.2659 0.5931 x1
O 0.3106 0.8148 0.1126 x1
O 0.3141 0.3308 0.0946 x1
O 0.3142 0.7901 0.6082 x1
O 0.4599 0.9911 0.3413 x1
O 0.4740 0.4870 0.3403 x1
O 0.6454 0.6166 0.8495 x1
O 0.6627 0.0925 0.8417 x1
O 0.7720 0.3478 0.1028 x1
O 0.7736 0.8389 0.1192 x1
O 0.8175 0.7838 0.6112 x1
O 0.8392 0.2658 0.5990 x1
O 0.9399 0.5083 0.3414 x1
O 0.9512 0.0066 0.3498 x1

The 6 most intense peaks (10° ≤ 2θ ≤ 90°), sorted by position:
| two_theta | I_rel |
| --- | --- |
| 17.99 | 100.0 |
| 19.06 | 52.1 |
| 19.47 | 82.9 |
| 34.79 | 47.4 |
| 35.18 | 49.9 |
| 44.74 | 79.3 |

***

Theoretical X-ray diffraction stick pattern
Compound: Fe3CoCu2P6O24
Radiation: Cu Kα, 1.54184 Å
Structure: a cell relaxed with GGA+U
Lines closer than 0.1° are merged.

Structural model:
Cell: 8.5224 8.5224 20.7137 Å, 90.00 90.00 120.00°
Space group R3 (No. 146, hexagonal axes)
Symmetry-distinct sites (fractional):
Fe 0.0000 0.0000 0.0000 x3
Fe 0.0000 0.0000 0.2119 x3
Fe 0.0000 0.0000 0.5003 x3
Co 0.0000 0.0000 0.7157 x3
Cu 0.0000 0.0000 0.3563 x3
Cu 0.0000 0.0000 0.8560 x3
P 0.0392 0.3700 0.7717 x9
P 0.0450 0.6673 0.2746 x9
O 0.0209 0.1775 0.7776 x9
O 0.0219 0.8374 0.2809 x9
O 0.1362 0.4646 0.8336 x9
O 0.1363 0.4691 0.7110 x9
O 0.1387 0.6677 0.2124 x9
O 0.1450 0.6717 0.3363 x9
O 0.1674 0.4863 0.0992 x9
O 0.1705 0.6900 0.6009 x9

The 6 most intense peaks (10° ≤ 2θ ≤ 90°), sorted by position:
| two_theta | I_rel |
| --- | --- |
| 20.85 | 100.0 |
| 24.55 | 92.4 |
| 33.40 | 75.7 |
| 36.53 | 43.1 |
| 47.94 | 35.0 |
| 50.33 | 28.4 |

***

Theoretical X-ray diffraction stick pattern
Compound: LiMo4P4O22
Radiation: Cu Kα, 1.54184 Å
Structure: a cell relaxed with GGA+U
Lines closer than 0.1° are merged.

Structural model:
Cell: 6.4737 7.5744 9.0957 Å, 105.73 90.25 90.55°
Space group P-1 (No. 2)
Symmetry-distinct sites (fractional):
Li 0.0000 0.0000 0.0000 x1
Mo 0.2469 0.8907 0.2968 x2
Mo 0.2548 0.6685 0.8526 x2
P 0.2474 0.4238 0.1166 x2
P 0.2491 0.0096 0.6746 x2
O 0.0598 0.2920 0.1101 x2
O 0.0630 0.1397 0.6900 x2
O 0.2328 0.8609 0.0922 x2
O 0.2345 0.9176 0.8096 x2
O 0.2412 0.5329 0.6719 x2
O 0.2430 0.5924 0.2510 x2
O 0.2441 0.1244 0.3618 x2
O 0.2504 0.4738 0.9605 x2
O 0.2528 0.8628 0.5214 x2
O 0.4414 0.3031 0.1166 x2
O 0.4453 0.1335 0.7001 x2

The 6 most intense peaks (10° ≤ 2θ ≤ 90°), sorted by position:
| two_theta | I_rel |
| --- | --- |
| 17.82 | 48.9 |
| 18.43 | 56.5 |
| 23.76 | 76.8 |
| 26.44 | 56.6 |
| 27.56 | 100.0 |
| 29.73 | 54.1 |

***

Theoretical X-ray diffraction stick pattern
Compound: MnAlO3
Radiation: Cu Kα, 1.54184 Å
Structure: a cell relaxed with GGA+U
Lines closer than 0.1° are merged.

Structural model:
Cell: 3.2307 3.2307 11.4638 Å, 90.00 90.00 120.00°
Space group P6_3/mmc (No. 194)
Symmetry-distinct sites (fractional):
Mn 0.3333 0.6667 0.2500 x2
Al 0.0000 0.0000 0.0000 x2
O 0.0000 0.0000 0.2500 x2
O 0.3333 0.6667 0.0758 x4

The 6 most intense peaks (10° ≤ 2θ ≤ 90°), sorted by position:
| two_theta | I_rel |
| --- | --- |
| 15.46 | 18.5 |
| 31.21 | 40.0 |
| 32.95 | 100.0 |
| 51.53 | 29.4 |
| 57.01 | 38.7 |
| 66.44 | 23.0 |